The following is a simulated powder XRD pattern of TmZn. It was derived from a structure optimized by DFT (PBE), using λ = 1.5418 Å (Cu Kα).
Kinematic intensities with the Lorentz-polarization factor, no thermal factor.

Most intense lines, 2θ from 15° to 90°, low angle first:
h k l	2theta	I_rel
1 1 1	26.57	31
2 0 0	30.78	100
2 2 0	44.08	75
2 2 2	54.73	26
4 2 0	72.79	33
4 2 2	81.08	25

Atomic structure:
Unit cell a=5.810 b=5.810 c=5.810 alpha=90.00 beta=90.00 gamma=90.00
Space group Fm-3m (No. 225)
One atom of each set of equivalent atoms:
Tm (0.000, 0.000, 0.000) (multiplicity 4)
Zn (0.000, 0.000, 0.500) (multiplicity 4)